Simulated powder diffraction line list of Ti2Ga2Fe3 for Cu Kα (weighted mean of Kα1 and Kα2), from a DFT-relaxed cell (GGA-PBE, Alexandria).

Structural model:
```
data_Ti2Ga2Fe3
_space_group_name_H-M_alt 'C 1 2/m 1'
_space_group_IT_number 12
_space_group_name_Hall '-C 2y'
_cell_length_a 7.2189
_cell_length_b 4.1764
_cell_length_c 6.8966
_cell_angle_alpha 90.00
_cell_angle_beta 110.45
_cell_angle_gamma 90.00
loop_
_atom_site_label
_atom_site_fract_x
_atom_site_fract_y
_atom_site_fract_z
Ti1 0.1181 0.0000 0.3539
Ga1 0.1291 0.5000 0.8874
Fe1 0.0000 0.5000 0.5000
Fe2 0.2442 0.0000 0.7315
```

Largest 6 diffraction maxima, most intense first, 10° ≤ 2θ ≤ 90°:
2θ (°), Rel. int.
43.4, 100.0
45.0, 83.0
64.3, 26.5
41.1, 19.3
25.1, 18.3
80.7, 17.6